Computed powder XRD pattern
Compound: Sm12Mn5C15
Radiation: CuKα
Structure: the PBE geometry in the Materials Project

```
Sm12Mn5C15
1.0
10.6513 0.0000 0.0000
-5.3257 9.2243 0.0000
0.0000 0.0000 5.2092
Sm Mn C
12 5 15
Cartesian
-2.2606 3.9155 0.0000
-4.2250 7.3179 0.0000
-1.9039 6.7255 2.6046
1.1007 1.9064 0.0000
0.4531 4.2127 2.6046
4.5212 0.0000 0.0000
3.4218 2.4988 2.6046
1.4508 7.5104 2.6046
3.0650 5.3088 0.0000
6.7764 1.7139 2.6046
8.4499 0.0000 0.0000
5.7788 5.0116 2.6046
-0.8140 1.4099 2.6046
1.6281 0.0000 2.6046
0.0000 6.1495 0.0000
5.3257 3.0748 0.0000
4.5116 7.8144 2.6046
-1.7134 2.9677 2.6046
-2.3885 4.1370 2.6046
-4.2813 7.4154 2.6046
-1.7332 6.5701 0.0000
1.0444 1.8089 2.6046
0.5024 4.4383 0.0000
3.4268 0.0000 2.6046
4.7770 0.0000 2.6046
3.5924 2.6542 0.0000
1.2308 7.4403 0.0000
2.9372 5.0873 2.6046
3.6123 6.2566 2.6046
6.5565 1.7840 0.0000
8.5625 0.0000 2.6046
5.8281 4.7860 0.0000
```

Principal peaks in the range 2θ from 10° to 90°, in order of rising 2θ:
25.8°, intensity 9.9
30.9°, intensity 100.0
33.7°, intensity 15.5
33.9°, intensity 11.4
34.4°, intensity 32.9
35.1°, intensity 28.0
48.9°, intensity 10.5
50.0°, intensity 20.0
58.5°, intensity 9.2
59.5°, intensity 15.9

Computed powder XRD pattern
Compound: Sm2Mn17C2
Radiation: CuKα
Structure: the PBE geometry in the Materials Project

```
Sm2Mn17C2
1.0
4.7986 -4.3205 0.0000
4.7986 4.3205 0.0000
-0.9496 0.0000 6.3972
Sm Mn C
2 17 2
Cartesian
1.0564 0.0000 2.2047
7.5912 0.0000 4.1925
2.3993 2.1602 0.0000
0.6544 0.0000 5.5746
3.5084 2.0261 2.1619
2.7333 1.1873 4.6042
4.7986 2.3390 0.0000
5.1393 2.0261 4.2353
3.7992 0.0000 0.6053
2.7333 -1.1873 4.6042
2.3993 -2.1602 0.0000
4.3238 0.0000 3.1986
5.9144 1.1873 1.7930
4.8484 0.0000 5.7919
3.5084 -2.0261 2.1619
4.7986 -2.3390 0.0000
5.9144 -1.1873 1.7930
5.1393 -2.0261 4.2353
7.9933 0.0000 0.8226
1.9245 2.1602 3.1986
1.9245 -2.1602 3.1986
```

Principal peaks in the range 2θ from 10° to 90°, in order of rising 2θ:
30.0°, intensity 53.1
31.4°, intensity 21.0
32.5°, intensity 28.7
36.0°, intensity 48.0
37.8°, intensity 34.0
41.9°, intensity 95.5
42.4°, intensity 100.0
44.0°, intensity 36.8
61.1°, intensity 21.1
62.0°, intensity 22.5

Computed powder XRD pattern
Compound: Mn3SnC
Radiation: CuKα
Structure: the PBE geometry in the Materials Project

```
Mn3SnC
1.0
3.8935 0.0000 0.0000
0.0000 3.8935 0.0000
0.0000 0.0000 3.8935
Mn Sn C
3 1 1
Cartesian
0.0000 0.0000 1.9467
0.0000 1.9467 0.0000
1.9467 0.0000 0.0000
1.9467 1.9467 1.9467
0.0000 0.0000 0.0000
```

Principal peaks in the range 2θ from 10° to 90°, in order of rising 2θ:
22.8°, intensity 10.6
32.5°, intensity 19.7
40.1°, intensity 100.0
46.7°, intensity 54.7
52.6°, intensity 6.6
58.0°, intensity 8.3
68.1°, intensity 33.4
77.5°, intensity 4.0
82.1°, intensity 35.6
86.6°, intensity 11.7

Computed powder XRD pattern
Compound: Tm10Mn13C18
Radiation: CuKα
Structure: the PBE geometry in the Materials Project

```
Tm10Mn13C18
1.0
-4.9953 4.9953 4.9953
4.9953 -4.9953 4.9953
4.9953 4.9953 -4.9953
Tm Mn C
10 13 18
Cartesian
2.0474 2.0474 -2.0474
2.0474 -2.0474 2.0474
4.9953 2.4977 0.0000
4.9953 0.0000 2.4977
-2.0474 2.0474 2.0474
2.4977 4.9953 0.0000
2.4977 0.0000 4.9953
2.9479 2.9479 2.9479
0.0000 4.9953 2.4977
0.0000 2.4977 4.9953
0.0000 0.0000 0.0000
7.4192 0.7719 -0.7719
7.4192 -0.7719 0.7719
2.5714 0.7719 0.7719
4.2234 4.2234 -2.4239
4.2234 -2.4239 4.2234
0.7719 2.5714 0.7719
0.7719 0.7719 2.5714
0.7719 7.4192 -0.7719
0.7719 -0.7719 7.4192
-0.7719 7.4192 0.7719
-0.7719 0.7719 7.4192
-2.4239 4.2234 4.2234
4.6189 2.4038 -2.4038
4.3046 0.0000 0.0000
5.6861 0.0000 0.0000
4.6189 -2.4038 2.4038
2.4038 4.6189 -2.4038
2.4038 -2.4038 4.6189
2.5915 2.5915 0.3764
2.5915 0.3764 2.5915
0.0000 4.3046 0.0000
0.0000 0.0000 4.3046
5.3717 2.4038 2.4038
0.3764 2.5915 2.5915
0.0000 5.6861 0.0000
0.0000 0.0000 5.6861
2.5915 -0.3764 7.3991
2.5915 7.3991 -0.3764
2.4038 5.3717 2.4038
2.4038 2.4038 5.3717
```

Principal peaks in the range 2θ from 10° to 90°, in order of rising 2θ:
28.2°, intensity 25.8
31.0°, intensity 100.0
33.6°, intensity 78.7
36.0°, intensity 60.8
38.2°, intensity 57.0
46.3°, intensity 24.0
51.8°, intensity 23.5
53.5°, intensity 22.2
56.8°, intensity 47.6
69.1°, intensity 25.0